Record 1
The following is a computed X-ray diffraction stick pattern of YCr3Fe9. It was derived from the GGA-PBE geometry in Alexandria, using Cu Kα (λ = 1.5418 Å).
Intensities are scaled so that the largest is 100.

Most intense lines, 2θ from 15° to 90°, low angle first:
- hkl 0 0 4, 2θ 43.23, d 2.093, rel. 34
- hkl 0 4 0, 2θ 43.44, d 2.083, rel. 35
- hkl 1 2 3, 2θ 43.59, d 2.076, rel. 100
- hkl 2 2 0, 2θ 44.37, d 2.041, rel. 79
- hkl 0 4 2, 2θ 48.87, d 1.864, rel. 25
- hkl 2 2 2, 2θ 49.71, d 1.834, rel. 47

Cell and atoms:
Cell lengths 4.6804, 8.3332, 8.3713 Å; angles 90.00, 90.00, 90.00 degrees
Space group Imm2 (No. 44)
Unique sites:
1 Y 0.0000 0.0000 0.0000 x2
2 Cr 0.0000 0.0000 0.6339 x2
3 Cr 0.0000 0.3681 0.9892 x4
4 Fe 0.0000 0.0000 0.3595 x2
5 Fe 0.0000 0.2727 0.4922 x4
6 Fe 0.0000 0.5000 0.2672 x2
7 Fe 0.0000 0.5000 0.7165 x2
8 Fe 0.2502 0.2474 0.7430 x8



Record 2
The following is a computed X-ray diffraction stick pattern of ZnCrFe6. It was derived from the GGA-PBE geometry in Alexandria, using Cu Kα (λ = 1.5418 Å).
Intensities are scaled so that the largest is 100.

Most intense lines, 2θ from 15° to 90°, low angle first:
- hkl 2 4 0, 2θ 43.31, d 2.089, rel. 100
- hkl 0 4 4, 2θ 50.39, d 1.811, rel. 31
- hkl 4 0 0, 2θ 50.55, d 1.806, rel. 15
- hkl 4 4 4, 2θ 74.15, d 1.279, rel. 22
- hkl 2 8 4, 2θ 89.78, d 1.092, rel. 11
- hkl 2 4 8, 2θ 89.91, d 1.091, rel. 10

Cell and atoms:
Cell lengths 7.2229, 10.2548, 10.2338 Å; angles 90.00, 90.00, 90.00 degrees
Space group Cmmm (No. 65)
Unique sites:
1 Zn 0.0000 0.0000 0.2479 x4
2 Zn 0.0000 0.2511 0.5000 x4
3 Cr 0.0000 0.2498 0.0000 x4
4 Cr 0.0000 0.5000 0.2484 x4
5 Fe 0.0000 0.0000 0.0000 x2
6 Fe 0.0000 0.0000 0.5000 x2
7 Fe 0.0000 0.2499 0.2479 x8
8 Fe 0.0000 0.5000 0.0000 x2
9 Fe 0.0000 0.5000 0.5000 x2
10 Fe 0.2469 0.3751 0.1229 x16
11 Fe 0.2492 0.1257 0.3734 x16



Record 3
The following is a computed X-ray diffraction stick pattern of ZrCrFe. It was derived from the GGA-PBE geometry in Alexandria, using Cu Kα (λ = 1.5418 Å).
Intensities are scaled so that the largest is 100.

Most intense lines, 2θ from 15° to 90°, low angle first:
- hkl 1 1 2, 2θ 36.21, d 2.481, rel. 82
- hkl 1 2 1, 2θ 41.67, d 2.167, rel. 100
- hkl 0 1 3, 2θ 42.45, d 2.129, rel. 44
- hkl 1 0 3, 2θ 43.12, d 2.098, rel. 42
- hkl 2 1 1, 2θ 43.68, d 2.072, rel. 77
- hkl 2 2 4, 2θ 76.86, d 1.240, rel. 39

Cell and atoms:
Cell lengths 4.7760, 5.1876, 7.0048 Å; angles 90.00, 90.00, 90.00 degrees
Space group Imma (No. 74)
Unique sites:
1 Zr 0.0000 0.2500 0.1228 x4
2 Cr 0.2500 0.2500 0.7500 x4
3 Fe 0.0000 0.0000 0.5000 x4



Record 4
The following is a computed X-ray diffraction stick pattern of ZrCrFe. It was derived from the GGA-PBE geometry in Alexandria, using Cu Kα (λ = 1.5418 Å).
Intensities are scaled so that the largest is 100.

Most intense lines, 2θ from 15° to 90°, low angle first:
- hkl 0 1 3, 2θ 35.66, d 2.518, rel. 37
- hkl 3 1 1, 2θ 39.41, d 2.286, rel. 100
- hkl 2 1 3, 2θ 42.32, d 2.136, rel. 82
- hkl 2 2 0, 2θ 42.58, d 2.123, rel. 38
- hkl 1 0 4, 2θ 42.85, d 2.110, rel. 29
- hkl 1 2 2, 2θ 43.19, d 2.094, rel. 56

Cell and atoms:
Cell lengths 8.0636, 4.9955, 8.7466 Å; angles 90.00, 90.00, 90.00 degrees
Space group Amm2 (No. 38)
Unique sites:
1 Zr 0.1863 0.0000 0.0000 x4
2 Zr 0.3100 0.0000 0.3326 x4
3 Cr 0.2546 0.0000 0.6665 x4
4 Cr 0.5000 0.2457 0.0809 x4
5 Fe 0.0000 0.0000 0.4978 x2
6 Fe 0.0000 0.2494 0.2493 x4
7 Fe 0.5000 0.0000 0.8365 x2